Record 1
The following is a computed powder diffraction line list of Sb3Mo4W2C3. It was derived from a DFT-relaxed cell (GGA-PBE, OQMD), using Cu Kα X-rays.
Peak positions follow from Bragg's law for the DFT cell and can differ from measured ones.

Atomic structure:
```
data_Sb3Mo4W2C3
_space_group_name_H-M_alt 'C 1 2/c 1'
_space_group_IT_number 15
_space_group_name_Hall '-C 2yc'
_cell_length_a 9.7919
_cell_length_b 5.6581
_cell_length_c 13.4790
_cell_angle_alpha 90.00
_cell_angle_beta 103.83
_cell_angle_gamma 90.00
loop_
_atom_site_label
_atom_site_type_symbol
_atom_site_fract_x
_atom_site_fract_y
_atom_site_fract_z
Sb1 Sb 0.0000 0.0860 0.2500
Sb2 Sb 0.1661 0.4173 0.7511
Mo1 Mo 0.1135 0.0652 0.5828
Mo2 Mo 0.2142 0.0969 0.9163
W1 W 0.0662 0.4126 0.4226
C1 C 0.0789 0.2583 0.0000
C2 C 0.2500 0.2500 0.5000
```

Principal peaks in the range 2θ = 5–70°, in order of falling intensity:
| two_theta | d/Å | I_rel |
| --- | --- | --- |
| 37.9 | 2.375 | 1000 |
| 38.0 | 2.370 | 500 |
| 31.6 | 2.828 | 362 |
| 56.4 | 1.633 | 315 |
| 41.4 | 2.181 | 247 |
| 69.9 | 1.346 | 156 |
| 53.0 | 1.728 | 132 |
| 53.1 | 1.725 | 70 |
| 66.1 | 1.414 | 43 |
| 25.7 | 3.469 | 42 |
| 18.2 | 4.862 | 40 |
| 24.1 | 3.693 | 35 |

---

Record 2
The following is a computed powder diffraction line list of YZr. It was derived from a DFT-relaxed cell (GGA-PBE, OQMD), using Cu Kα X-rays.
Peak positions follow from Bragg's law for the DFT cell and can differ from measured ones.

Atomic structure:
```
data_YZr
_space_group_name_H-M_alt 'P m c 21'
_space_group_IT_number 26
_space_group_name_Hall 'P 2c -2'
_cell_length_a 5.3564
_cell_length_b 10.4100
_cell_length_c 5.8565
_cell_angle_alpha 90.00
_cell_angle_beta 90.00
_cell_angle_gamma 90.00
loop_
_atom_site_label
_atom_site_type_symbol
_atom_site_fract_x
_atom_site_fract_y
_atom_site_fract_z
Y1 Y 0.0000 0.0789 0.0000
Y2 Y 0.0000 0.2584 0.5219
Y3 Y 0.5000 0.2559 0.1591
Zr1 Zr 0.0000 0.4333 0.9944
Zr2 Zr 0.5000 0.0769 0.6689
Zr3 Zr 0.5000 0.4290 0.6857
```

Principal peaks in the range 2θ = 5–70°, in order of falling intensity:
| two_theta | d/Å | I_rel |
| --- | --- | --- |
| 34.4 | 2.608 | 1000 |
| 34.9 | 2.569 | 481 |
| 33.5 | 2.678 | 371 |
| 64.9 | 1.437 | 319 |
| 29.9 | 2.985 | 239 |
| 60.4 | 1.532 | 186 |
| 53.9 | 1.701 | 169 |
| 45.5 | 1.994 | 146 |
| 30.5 | 2.928 | 118 |
| 63.9 | 1.456 | 93 |
| 60.8 | 1.524 | 92 |
| 52.8 | 1.735 | 85 |

---

Record 3
The following is a computed powder diffraction line list of PrGdNi8B2. It was derived from a DFT-relaxed cell (GGA-PBE, OQMD), using Cu Kα X-rays.
Peak positions follow from Bragg's law for the DFT cell and can differ from measured ones.

Atomic structure:
```
data_PrGdNi8B2
_space_group_name_H-M_alt 'P 6/m m m'
_space_group_IT_number 191
_space_group_name_Hall '-P 6 2'
_cell_length_a 5.0575
_cell_length_b 5.0575
_cell_length_c 6.9878
_cell_angle_alpha 90.00
_cell_angle_beta 90.00
_cell_angle_gamma 120.00
loop_
_atom_site_label
_atom_site_type_symbol
_atom_site_fract_x
_atom_site_fract_y
_atom_site_fract_z
Pr1 Pr 0.0000 0.0000 0.0000
Gd1 Gd 0.0000 0.0000 0.5000
Ni1 Ni 0.0000 0.5000 0.2085
Ni2 Ni 0.3333 0.6667 0.5000
B1 B 0.3333 0.6667 0.0000
```

Principal peaks in the range 2θ = 5–70°, in order of falling intensity:
| two_theta | d/Å | I_rel |
| --- | --- | --- |
| 44.2 | 2.049 | 1000 |
| 32.8 | 2.731 | 849 |
| 41.2 | 2.190 | 754 |
| 35.5 | 2.529 | 296 |
| 62.0 | 1.496 | 270 |
| 69.8 | 1.347 | 243 |
| 68.7 | 1.366 | 151 |
| 64.9 | 1.437 | 144 |
| 37.8 | 2.378 | 133 |
| 52.4 | 1.747 | 131 |
| 38.7 | 2.329 | 130 |
| 20.3 | 4.380 | 95 |

---

Record 4
The following is a computed powder diffraction line list of Gd2Er. It was derived from a DFT-relaxed cell (GGA-PBE, OQMD), using Cu Kα X-rays.
Peak positions follow from Bragg's law for the DFT cell and can differ from measured ones.

Atomic structure:
a b c (Å): 9.2509 9.2509 9.2509
angles (deg): 90.00 90.00 90.00
Space group Fd-3m (No. 227, origin choice 2)
Inequivalent atoms, fractional coordinates:
Gd 0.0000 0.0000 0.0000 [16 per cell]
Er 0.1250 0.1250 0.6250 [8 per cell]

Principal peaks in the range 2θ = 5–70°, in order of falling intensity:
| two_theta | d/Å | I_rel |
| --- | --- | --- |
| 32.1 | 2.789 | 1000 |
| 33.6 | 2.671 | 385 |
| 51.3 | 1.780 | 359 |
| 56.3 | 1.635 | 312 |
| 27.3 | 3.271 | 281 |
| 67.1 | 1.395 | 156 |
| 66.2 | 1.411 | 125 |
| 48.2 | 1.888 | 120 |
| 63.6 | 1.463 | 52 |
| 38.9 | 2.313 | 42 |
| 16.6 | 5.341 | 33 |
| 42.6 | 2.122 | 9 |

---

Record 5
The following is a computed powder diffraction line list of MgB4Pd. It was derived from a DFT-relaxed cell (GGA-PBE, OQMD), using Cu Kα X-rays.
Peak positions follow from Bragg's law for the DFT cell and can differ from measured ones.

Atomic structure:
```
data_MgB4Pd
_space_group_name_H-M_alt 'P 6/m m m'
_space_group_IT_number 191
_space_group_name_Hall '-P 6 2'
_cell_length_a 3.0588
_cell_length_b 3.0588
_cell_length_c 6.9430
_cell_angle_alpha 90.00
_cell_angle_beta 90.00
_cell_angle_gamma 120.00
loop_
_atom_site_label
_atom_site_type_symbol
_atom_site_fract_x
_atom_site_fract_y
_atom_site_fract_z
Mg1 Mg 0.0000 0.0000 0.0000
B1 B 0.3333 0.6667 0.2467
Pd1 Pd 0.0000 0.0000 0.5000
```

Principal peaks in the range 2θ = 5–70°, in order of falling intensity:
| two_theta | d/Å | I_rel |
| --- | --- | --- |
| 12.8 | 6.943 | 1000 |
| 42.9 | 2.106 | 985 |
| 33.8 | 2.649 | 605 |
| 36.3 | 2.475 | 494 |
| 25.7 | 3.471 | 287 |
| 60.5 | 1.529 | 202 |
| 64.1 | 1.452 | 191 |
| 52.5 | 1.743 | 165 |
| 66.8 | 1.400 | 134 |
| 52.7 | 1.736 | 104 |
| 62.1 | 1.494 | 99 |
| 38.9 | 2.314 | 70 |

---

Record 6
The following is a computed powder diffraction line list of AgSbPbS3. It was derived from a DFT-relaxed cell (GGA-PBE, OQMD), using Cu Kα X-rays.
Peak positions follow from Bragg's law for the DFT cell and can differ from measured ones.

Atomic structure:
```
data_AgSbPbS3
_space_group_name_H-M_alt 'P 1 21/c 1'
_space_group_IT_number 14
_space_group_name_Hall '-P 2ybc'
_cell_length_a 6.0413
_cell_length_b 12.9086
_cell_length_c 7.6703
_cell_angle_alpha 90.00
_cell_angle_beta 91.27
_cell_angle_gamma 90.00
loop_
_atom_site_label
_atom_site_type_symbol
_atom_site_fract_x
_atom_site_fract_y
_atom_site_fract_z
Ag1 Ag 0.2219 0.2370 0.3787
Sb1 Sb 0.2648 0.5911 0.8642
Pb1 Pb 0.2575 0.5828 0.3537
S1 S 0.1380 0.1261 0.6415
S2 S 0.2630 0.0569 0.1515
S3 S 0.3467 0.7227 0.6372
```

Principal peaks in the range 2θ = 5–70°, in order of falling intensity:
| two_theta | d/Å | I_rel |
| --- | --- | --- |
| 31.2 | 2.863 | 1000 |
| 25.4 | 3.504 | 838 |
| 29.6 | 3.020 | 516 |
| 43.9 | 2.061 | 328 |
| 43.2 | 2.095 | 319 |
| 27.8 | 3.205 | 313 |
| 27.3 | 3.270 | 312 |
| 50.8 | 1.798 | 216 |
| 52.2 | 1.752 | 196 |
| 42.0 | 2.151 | 178 |
| 50.0 | 1.823 | 173 |
| 51.1 | 1.786 | 147 |

---

Record 7
The following is a computed powder diffraction line list of InTc2Ge2. It was derived from a DFT-relaxed cell (GGA-PBE, OQMD), using Cu Kα X-rays.
Peak positions follow from Bragg's law for the DFT cell and can differ from measured ones.

Atomic structure:
```
data_InTc2Ge2
_space_group_name_H-M_alt 'F d d 2'
_space_group_IT_number 43
_space_group_name_Hall 'F 2 -2d'
_cell_length_a 8.6951
_cell_length_b 16.3159
_cell_length_c 4.8547
_cell_angle_alpha 90.00
_cell_angle_beta 90.00
_cell_angle_gamma 90.00
loop_
_atom_site_label
_atom_site_type_symbol
_atom_site_fract_x
_atom_site_fract_y
_atom_site_fract_z
In1 In 0.0000 0.0000 0.0000
Tc1 Tc 0.0994 0.4205 0.0250
Ge1 Ge 0.0515 0.3162 0.6620
```

Principal peaks in the range 2θ = 5–70°, in order of falling intensity:
| two_theta | d/Å | I_rel |
| --- | --- | --- |
| 34.7 | 2.586 | 1000 |
| 36.5 | 2.460 | 563 |
| 39.8 | 2.263 | 556 |
| 38.7 | 2.327 | 458 |
| 44.4 | 2.042 | 443 |
| 44.2 | 2.051 | 228 |
| 60.6 | 1.527 | 221 |
| 43.1 | 2.100 | 199 |
| 67.3 | 1.391 | 163 |
| 45.9 | 1.979 | 160 |
| 42.7 | 2.119 | 147 |
| 39.1 | 2.305 | 136 |

---

Record 8
The following is a computed powder diffraction line list of PrNdMg2Sn2. It was derived from a DFT-relaxed cell (GGA-PBE, OQMD), using Cu Kα X-rays.
Peak positions follow from Bragg's law for the DFT cell and can differ from measured ones.

Atomic structure:
```
data_PrNdMg2Sn2
_space_group_name_H-M_alt 'I 4 m m'
_space_group_IT_number 107
_space_group_name_Hall 'I 4 -2'
_cell_length_a 4.5167
_cell_length_b 4.5167
_cell_length_c 16.2317
_cell_angle_alpha 90.00
_cell_angle_beta 90.00
_cell_angle_gamma 90.00
loop_
_atom_site_label
_atom_site_type_symbol
_atom_site_fract_x
_atom_site_fract_y
_atom_site_fract_z
Pr1 Pr 0.0000 0.0000 0.0000
Nd1 Nd 0.0000 0.0000 0.3311
Mg1 Mg 0.0000 0.5000 0.1656
Sn1 Sn 0.0000 0.0000 0.5327
Sn2 Sn 0.0000 0.0000 0.7985
```

Principal peaks in the range 2θ = 5–70°, in order of falling intensity:
| two_theta | d/Å | I_rel |
| --- | --- | --- |
| 27.9 | 3.194 | 1000 |
| 35.8 | 2.510 | 892 |
| 39.9 | 2.258 | 575 |
| 21.9 | 4.058 | 447 |
| 34.0 | 2.636 | 353 |
| 30.1 | 2.972 | 340 |
| 46.0 | 1.973 | 262 |
| 69.8 | 1.347 | 259 |
| 43.9 | 2.064 | 257 |
| 52.8 | 1.734 | 252 |
| 33.1 | 2.705 | 237 |
| 10.9 | 8.116 | 224 |

---

Record 9
The following is a computed powder diffraction line list of HoInGaTe3. It was derived from a DFT-relaxed cell (GGA-PBE, OQMD), using Cu Kα X-rays.
Peak positions follow from Bragg's law for the DFT cell and can differ from measured ones.

Atomic structure:
```
data_HoInGaTe3
_space_group_name_H-M_alt 'C m c m'
_space_group_IT_number 63
_space_group_name_Hall '-C 2c 2'
_cell_length_a 4.5283
_cell_length_b 14.9689
_cell_length_c 11.4796
_cell_angle_alpha 90.00
_cell_angle_beta 90.00
_cell_angle_gamma 90.00
loop_
_atom_site_label
_atom_site_type_symbol
_atom_site_fract_x
_atom_site_fract_y
_atom_site_fract_z
Ho1 Ho 0.0000 0.0000 0.0000
In1 In 0.0000 0.2468 0.2500
Ga1 Ga 0.0000 0.4657 0.7500
Te1 Te 0.0000 0.0799 0.7500
Te2 Te 0.0000 0.3617 0.5511
```

Principal peaks in the range 2θ = 5–70°, in order of falling intensity:
| two_theta | d/Å | I_rel |
| --- | --- | --- |
| 30.9 | 2.895 | 1000 |
| 27.7 | 3.219 | 917 |
| 39.4 | 2.289 | 816 |
| 31.2 | 2.869 | 727 |
| 26.6 | 3.353 | 486 |
| 39.8 | 2.264 | 430 |
| 26.2 | 3.407 | 366 |
| 48.0 | 1.894 | 320 |
| 51.4 | 1.778 | 301 |
| 11.8 | 7.484 | 293 |
| 57.2 | 1.609 | 255 |
| 43.3 | 2.091 | 194 |

---

Record 10
The following is a computed powder diffraction line list of Fe2BiAs. It was derived from a DFT-relaxed cell (GGA-PBE, OQMD), using Cu Kα X-rays.
Peak positions follow from Bragg's law for the DFT cell and can differ from measured ones.

Atomic structure:
```
data_Fe2BiAs
_space_group_name_H-M_alt 'P m -3 m'
_space_group_IT_number 221
_space_group_name_Hall '-P 4 2 3'
_cell_length_a 6.4727
_cell_length_b 6.4727
_cell_length_c 6.4727
_cell_angle_alpha 90.00
_cell_angle_beta 90.00
_cell_angle_gamma 90.00
loop_
_atom_site_label
_atom_site_type_symbol
_atom_site_fract_x
_atom_site_fract_y
_atom_site_fract_z
Fe1 Fe 0.2119 0.2119 0.2119
Bi1 Bi 0.0000 0.5000 0.5000
Bi2 Bi 0.5000 0.5000 0.5000
As1 As 0.0000 0.0000 0.0000
As2 As 0.0000 0.0000 0.5000
```

Principal peaks in the range 2θ = 5–70°, in order of falling intensity:
| two_theta | d/Å | I_rel |
| --- | --- | --- |
| 39.4 | 2.288 | 1000 |
| 27.6 | 3.236 | 281 |
| 30.9 | 2.895 | 215 |
| 64.4 | 1.447 | 177 |
| 56.9 | 1.618 | 148 |
| 48.7 | 1.869 | 108 |
| 41.9 | 2.158 | 82 |
| 58.8 | 1.570 | 79 |
| 23.8 | 3.737 | 72 |
| 13.7 | 6.473 | 48 |
| 66.2 | 1.412 | 40 |
| 46.5 | 1.952 | 33 |